[1]
Diffraction record for Rb2InGaO4. The powder X-ray diffraction pattern is calculated, not measured: it uses a crystal structure in Alexandria, relaxed with GGA-PBE and λ = 1.5418 Å (Cu Kα).
Peak positions follow from Bragg's law for the DFT cell and can differ from measured ones.

Top 10 peaks for 10 to 90 degrees two-theta, low angle first:
2theta	I/Imax
16.36	39
16.81	68
17.97	27
28.27	49
29.07	100
34.16	37
35.36	59
41.48	38
50.95	50
54.73	43

Structure:
a = 12.2919 Å, b = 10.9049 Å, c = 6.8952 Å
α = 84.13°, β = 61.95°, γ = 33.92°
Atoms (fractional coordinates):
Rb 0.0569 0.0569 0.6931
Rb 0.3069 0.3069 0.9431
Rb 0.6931 0.6931 0.0569
Rb 0.9431 0.9431 0.3069
In 0.1250 0.1250 0.1250
In 0.8750 0.8750 0.8750
Ga 0.3750 0.3750 0.3750
Ga 0.6250 0.6250 0.6250
O 0.0176 0.6482 0.5548
O 0.2794 0.5548 0.6482
O 0.3518 0.9824 0.7206
O 0.4452 0.7206 0.9824
O 0.5548 0.2794 0.0176
O 0.6482 0.0176 0.2794
O 0.7206 0.4452 0.3518
O 0.9824 0.3518 0.4452

***

[2]
Diffraction record for PrEr2Tm5. The powder X-ray diffraction pattern is calculated, not measured: it uses a crystal structure in Alexandria, relaxed with GGA-PBE and λ = 1.5418 Å (Cu Kα).
Peak positions follow from Bragg's law for the DFT cell and can differ from measured ones.

Top 10 peaks for 10 to 90 degrees two-theta, low angle first:
2theta	I/Imax
29.03	14
29.60	45
31.44	60
32.65	100
32.78	44
32.98	46
33.90	14
34.24	14
50.13	17
56.73	26

Structure:
a = 6.2112 Å, b = 8.7371 Å, c = 10.1823 Å
α = 110.27°, β = 96.29°, γ = 100.88°
Atoms (fractional coordinates):
Pr 0.1782 0.3902 0.1930
Pr 0.8218 0.6098 0.8070
Er 0.0671 0.2762 0.7945
Er 0.2772 0.5455 0.6048
Er 0.7228 0.4545 0.3952
Er 0.9329 0.7238 0.2055
Tm 0.0640 0.8662 0.5720
Tm 0.2199 0.9850 0.9183
Tm 0.3601 0.0542 0.2509
Tm 0.3750 0.6662 0.0096
Tm 0.4966 0.2088 0.6054
Tm 0.5034 0.7912 0.3946
Tm 0.6250 0.3338 0.9904
Tm 0.6399 0.9458 0.7491
Tm 0.7801 0.0150 0.0817
Tm 0.9360 0.1338 0.4280